Structure and theoretical PXRD pattern of Y2Fe17C3 (DFT lattice parameters and positions (GGA-PBE); Cu Kα).

Structure:
Cell: 6.4980 6.4980 6.4980 Å, 83.26 83.26 83.26°
Sites, in units of the cell vectors:
Y1 0.1561 0.1561 0.1561
Y2 0.8439 0.8439 0.8439
Fe1 0.0000 0.5000 0.5000
Fe2 0.1568 0.1568 0.6444
Fe3 0.1568 0.6444 0.1568
Fe4 0.2161 0.5000 0.7839
Fe5 0.2161 0.7839 0.5000
Fe6 0.3556 0.8432 0.8432
Fe7 0.4046 0.4046 0.4046
Fe8 0.5000 0.0000 0.5000
Fe9 0.5000 0.2161 0.7839
Fe10 0.5000 0.5000 0.0000
Fe11 0.5000 0.7839 0.2161
Fe12 0.5954 0.5954 0.5954
Fe13 0.6444 0.1568 0.1568
Fe14 0.7839 0.2161 0.5000
Fe15 0.7839 0.5000 0.2161
Fe16 0.8432 0.3556 0.8432
Fe17 0.8432 0.8432 0.3556
C1 0.0000 0.0000 0.5000
C2 0.0000 0.5000 0.0000
C3 0.5000 0.0000 0.0000

Largest 10 diffraction maxima, sorted by position, 2θ from 10° to 90°:
- 29.79 deg, rel. 19
- 36.04 deg, rel. 33
- 37.50 deg, rel. 30
- 41.85 deg, rel. 81
- 42.25 deg, rel. 100
- 43.41 deg, rel. 40
- 43.53 deg, rel. 19
- 47.43 deg, rel. 47
- 61.88 deg, rel. 17
- 76.44 deg, rel. 18